Structure and simulated X-ray diffraction stick pattern of Na2Sr7Al6F34 (the PBE geometry in the Materials Project; Cu Kα).
Peak positions follow from Bragg's law for the DFT cell and can differ from measured ones.

Largest 10 diffraction maxima, sorted by position, 5° ≤ 2θ ≤ 70°:
2theta	d/Å	I/Imax
24.05	3.700	39.7
25.49	3.495	41.6
27.63	3.229	100.0
28.40	3.143	67.1
29.58	3.020	84.7
29.90	2.988	41.5
40.40	2.233	43.3
41.23	2.189	41.5
44.75	2.025	36.1
45.50	1.994	37.7

Atomic structure:
```
Na2Sr7Al6F34
1.0
8.130 -5.500 0.000
8.130 5.500 0.000
-1.450 0.000 7.231
Na Sr Al F
2 7 6 34
Cartesian
0.000 0.000 0.000
-0.725 0.000 3.615
4.751 3.328 5.042
2.620 0.000 6.375
10.059 3.328 2.189
8.130 0.000 0.000
4.751 -3.328 5.042
12.190 0.000 0.855
10.059 -3.328 2.189
6.045 2.671 1.459
4.731 0.000 3.301
8.765 2.671 5.771
6.045 -2.671 1.459
10.079 0.000 3.929
8.765 -2.671 5.771
6.183 4.062 0.258
4.244 2.860 1.360
6.025 3.852 2.830
0.849 0.000 2.029
3.588 1.287 3.920
5.999 1.450 0.052
8.786 3.852 4.401
8.627 4.062 6.973
3.788 0.000 1.714
5.866 1.285 2.680
7.835 2.439 1.483
6.975 2.439 5.748
3.588 -1.287 3.920
5.492 0.000 4.942
10.566 2.860 5.871
8.944 1.285 4.550
8.811 1.450 7.179
5.999 -1.450 0.052
5.866 -1.285 2.680
4.244 -2.860 1.360
9.318 0.000 2.288
11.223 1.287 3.311
7.835 -2.439 1.483
6.975 -2.439 5.748
8.944 -1.285 4.550
11.022 0.000 5.516
6.183 -4.062 0.258
6.025 -3.852 2.830
8.811 -1.450 7.179
11.223 -1.287 3.311
13.961 0.000 5.202
8.786 -3.852 4.401
10.566 -2.860 5.871
8.627 -4.062 6.973
```